(1)
Simulated X-ray diffraction stick pattern
Compound: Lu4P2CN
Radiation: Cu Kα (λ = 1.5418 Å)
Structure: the GGA-PBE geometry in OQMD

Peak list (10 most intense, 2θ from 10° to 90°, in order of falling intensity)
2θ (°)  I/Imax
35.99  100
29.76  43
28.90  30
51.22  30
28.10  22
59.04  19
64.18  19
59.44  17
86.45  17
40.75  16

Crystal structure
abc: 3.5673 3.5673 12.7003
angles: 90.00 90.00 120.00
Atoms (fractional coordinates):
Lu (0.3333, 0.6667, 0.1042)
Lu (0.3333, 0.6667, 0.3964)
Lu (0.6667, 0.3333, 0.6036)
Lu (0.6667, 0.3333, 0.8958)
P (0.3333, 0.6667, 0.7458)
P (0.6667, 0.3333, 0.2542)
C (0.0000, 0.0000, 0.0000)
N (0.0000, 0.0000, 0.5000)

---

(2)
Simulated X-ray diffraction stick pattern
Compound: Lu8Pb2C3N3
Radiation: Cu Kα (λ = 1.5418 Å)
Structure: the GGA-PBE geometry in OQMD

Peak list (10 most intense, 2θ from 10° to 90°, in order of falling intensity)
2θ (°)  I/Imax
34.36  100
36.15  81
32.83  79
33.29  54
53.15  54
64.18  51
30.13  40
60.18  20
56.98  17
64.84  16

Crystal structure
abc: 3.4462 3.4462 26.9125
angles: 90.00 90.00 120.00
Atoms (fractional coordinates):
Lu (0.0000, 0.0000, 0.1469)
Lu (0.0000, 0.0000, 0.3460)
Lu (0.0000, 0.0000, 0.6540)
Lu (0.0000, 0.0000, 0.8531)
Lu (0.3333, 0.6667, 0.5540)
Lu (0.3333, 0.6667, 0.9513)
Lu (0.6667, 0.3333, 0.0487)
Lu (0.6667, 0.3333, 0.4460)
Pb (0.3333, 0.6667, 0.7558)
Pb (0.6667, 0.3333, 0.2442)
C (0.0000, 0.0000, 0.5000)
C (0.3333, 0.6667, 0.3895)
C (0.6667, 0.3333, 0.6105)
N (0.0000, 0.0000, 0.0000)
N (0.3333, 0.6667, 0.1030)
N (0.6667, 0.3333, 0.8970)

---

(3)
Simulated X-ray diffraction stick pattern
Compound: Lu4CS2N
Radiation: Cu Kα (λ = 1.5418 Å)
Structure: the GGA-PBE geometry in OQMD

Peak list (10 most intense, 2θ from 10° to 90°, in order of falling intensity)
2θ (°)  I/Imax
36.38  100
29.90  40
29.00  30
51.41  30
28.78  20
64.60  19
60.25  18
86.98  17
59.98  16
41.32  15

Crystal structure
abc: 3.5550 3.5550 12.4069
angles: 90.00 90.00 120.00
Atoms (fractional coordinates):
Lu (0.3333, 0.6667, 0.1030)
Lu (0.3333, 0.6667, 0.3979)
Lu (0.6667, 0.3333, 0.6021)
Lu (0.6667, 0.3333, 0.8970)
C (0.0000, 0.0000, 0.0000)
S (0.3333, 0.6667, 0.7445)
S (0.6667, 0.3333, 0.2555)
N (0.0000, 0.0000, 0.5000)

---

Q: Number 3 is which compound?
A: Lu4CS2N